Entry 1:
The following is a computed PXRD pattern of Li2Cu4S3. It was derived from the GGA-PBE geometry in the Materials Project, using Cu Ka.
Intensities are scaled so that the largest is 100.

Peak list (10 most intense, 10 to 90 degrees two-theta, by angle)
- 12.61°, I 100
- 18.67°, I 12
- 18.99°, I 15
- 25.73°, I 14
- 37.33°, I 13
- 39.05°, I 13
- 39.93°, I 33
- 43.67°, I 13
- 43.95°, I 21
- 47.90°, I 23

Structural model:
Cell: 7.6337 7.6337 10.0083 Å, 107.69 107.69 28.81°
Fractional positions:
Li 0.1634 0.1634 0.3469
Li 0.2926 0.3207 0.1457
Li 0.6793 0.7074 0.8543
Li 0.8366 0.8366 0.6531
Cu 0.0918 0.1157 0.6011
Cu 0.0929 0.1088 0.0116
Cu 0.4622 0.4771 0.8667
Cu 0.4683 0.4979 0.6180
Cu 0.5021 0.5317 0.3820
Cu 0.5229 0.5378 0.1333
Cu 0.8843 0.9082 0.3989
Cu 0.8912 0.9071 0.9884
S 0.0147 0.0439 0.7732
S 0.3095 0.3253 0.8808
S 0.3252 0.3485 0.4581
S 0.6515 0.6748 0.5419
S 0.6747 0.6905 0.1192
S 0.9561 0.9853 0.2268


Entry 2:
The following is a computed PXRD pattern of Sr3Bi2N4. It was derived from the GGA-PBE geometry in the Materials Project, using Cu Ka.
Intensities are scaled so that the largest is 100.

Peak list (10 most intense, 10 to 90 degrees two-theta, by angle)
- 15.46°, I 27
- 21.52°, I 21
- 27.01°, I 53
- 28.19°, I 100
- 28.61°, I 43
- 32.94°, I 69
- 33.92°, I 49
- 39.97°, I 35
- 48.99°, I 21
- 54.30°, I 21

Structural model:
Cell: 8.5308 8.5308 5.5889 Å, 96.62 96.62 94.02°
Fractional positions:
Sr 0.1696 0.8304 0.7500
Sr 0.2912 0.4883 0.4375
Sr 0.4883 0.2912 0.9375
Sr 0.5117 0.7088 0.0625
Sr 0.7088 0.5117 0.5625
Sr 0.8304 0.1696 0.2500
Bi 0.0956 0.2981 0.8440
Bi 0.2981 0.0956 0.3440
Bi 0.7019 0.9044 0.6560
Bi 0.9044 0.7019 0.1560
N 0.1001 0.2433 0.4438
N 0.2433 0.1001 0.9438
N 0.2796 0.4975 0.9221
N 0.4975 0.2796 0.4221
N 0.5025 0.7204 0.5779
N 0.7204 0.5025 0.0779
N 0.7567 0.8999 0.0562
N 0.8999 0.7567 0.5562